The following is a simulated powder diffraction line list of Sc2MnMoO8. It was derived from a cell relaxed with PBE+U, using λ = 1.5418 Å (Cu Kα).
No peak broadening, texture or thermal motion is included.

Top 10 peaks for 10 to 90 degrees two-theta, in order of rising 2θ:
2θ = 18.6°, I = 33.8
2θ = 25.9°, I = 100.0
2θ = 27.0°, I = 79.1
2θ = 34.7°, I = 99.1
2θ = 37.8°, I = 20.1
2θ = 39.3°, I = 26.4
2θ = 51.6°, I = 61.1
2θ = 52.9°, I = 46.6
2θ = 55.8°, I = 16.1
2θ = 66.2°, I = 36.8

Structure:
```
Sc2MnMoO8
1.0
3.2968 -3.4447 0.0000
3.2968 3.4447 0.0000
0.0000 0.0000 6.1497
Sc Mn Mo O
2 1 1 8
Cartesian
0.0000 0.0000 1.4881
0.0000 0.0000 4.6616
3.2968 0.0000 0.0000
3.2968 0.0000 3.0748
1.3689 0.0000 3.0748
1.3969 0.0000 0.0000
3.2968 1.2546 1.5680
3.2968 1.2546 4.5817
3.2968 -1.2546 1.5680
3.2968 -1.2546 4.5817
5.1967 0.0000 0.0000
5.2246 0.0000 3.0748
```